# YGa2Co2H
Theoretical XRD peak list, Cu Kα X-rays. Input: DFT lattice parameters and positions (PBE).
Lines closer than 0.1° are merged.

Structure:
Unit cell a=3.8954 b=3.8954 c=5.3212 alpha=90.00 beta=90.00 gamma=90.00
Sites, in units of the cell vectors:
Y 0.0000 0.0000 0.0000
Ga 0.5000 0.5000 0.2378
Ga 0.5000 0.5000 0.7622
Co 0.0000 0.5000 0.5000
Co 0.5000 0.0000 0.5000
H 0.0000 0.0000 0.5000

Most intense lines, 2θ = 15–90°, by intensity:
2θ 36.74, rel. 100; 2θ 41.08, rel. 81; 2θ 46.63, rel. 65; 2θ 63.87, rel. 42; 2θ 47.51, rel. 29; 2θ 28.40, rel. 24



# Pm3ZnBr3
Theoretical XRD peak list, Cu Kα X-rays. Input: DFT lattice parameters and positions (PBE).
Lines closer than 0.1° are merged.

Structure:
Unit cell a=10.3250 b=10.3250 c=10.3250 alpha=109.47 beta=109.47 gamma=109.47
Sites, in units of the cell vectors:
Pm 0.0069 0.0139 0.2569
Pm 0.0069 0.4931 0.7500
Pm 0.0139 0.2569 0.0069
Pm 0.2431 0.2569 0.7500
Pm 0.2431 0.4861 0.4931
Pm 0.2569 0.0069 0.0139
Pm 0.2569 0.7500 0.2431
Pm 0.4861 0.4931 0.2431
Pm 0.4931 0.2431 0.4861
Pm 0.4931 0.7500 0.0069
Pm 0.7500 0.0069 0.4931
Pm 0.7500 0.2431 0.2569
Zn 0.0000 0.2500 0.5000
Zn 0.2500 0.2500 0.2500
Zn 0.2500 0.5000 0.0000
Zn 0.5000 0.0000 0.2500
Br 0.2500 0.7575 0.7425
Br 0.2500 0.9925 0.5075
Br 0.5075 0.2500 0.9925
Br 0.5075 0.7575 0.5150
Br 0.5150 0.5075 0.7575
Br 0.7425 0.2500 0.7575
Br 0.7425 0.9925 0.9850
Br 0.7575 0.5150 0.5075
Br 0.7575 0.7425 0.2500
Br 0.9850 0.7425 0.9925
Br 0.9925 0.5075 0.2500
Br 0.9925 0.9850 0.7425

Most intense lines, 2θ = 15–90°, by intensity:
2θ 29.98, rel. 100; 2θ 42.91, rel. 73; 2θ 70.67, rel. 31; 2θ 53.23, rel. 25; 2θ 78.63, rel. 22; 2θ 28.00, rel. 17



# Zn5Sb
Theoretical XRD peak list, Cu Kα X-rays. Input: DFT lattice parameters and positions (PBE).
Lines closer than 0.1° are merged.

Structure:
Unit cell a=4.0596 b=2.9754 c=18.1234 alpha=90.00 beta=90.00 gamma=90.00
Sites, in units of the cell vectors:
Zn 0.0000 0.0000 0.0000
Zn 0.0000 0.0000 0.2791
Zn 0.0000 0.0000 0.6358
Zn 0.0000 0.5000 0.1358
Zn 0.0000 0.5000 0.5000
Zn 0.0000 0.5000 0.7791
Zn 0.5000 0.0000 0.0961
Zn 0.5000 0.0000 0.7301
Zn 0.5000 0.5000 0.2301
Zn 0.5000 0.5000 0.5961
Sb 0.5000 0.0000 0.4013
Sb 0.5000 0.5000 0.9013

Most intense lines, 2θ = 15–90°, by intensity:
2θ 40.44, rel. 100; 2θ 37.10, rel. 57; 2θ 33.57, rel. 41; 2θ 29.55, rel. 34; 2θ 44.64, rel. 31; 2θ 57.00, rel. 17



# Ce4Sn2Hg3
Theoretical XRD peak list, Cu Kα X-rays. Input: DFT lattice parameters and positions (PBE).
Lines closer than 0.1° are merged.

Structure:
Unit cell a=5.2439 b=5.2439 c=10.4499 alpha=90.04 beta=90.04 gamma=59.97
Sites, in units of the cell vectors:
Ce 0.0001 0.0001 0.1336
Ce 0.9999 0.9999 0.8664
Ce 0.3332 0.3332 0.6208
Ce 0.6668 0.6668 0.3792
Sn 0.3335 0.3335 0.2815
Sn 0.6665 0.6665 0.7185
Hg 0.0000 0.0000 0.5000
Hg 0.3333 0.3333 0.9625
Hg 0.6667 0.6667 0.0375

Most intense lines, 2θ = 15–90°, by intensity:
2θ 32.39, rel. 100; 2θ 34.20, rel. 96; 2θ 60.10, rel. 35; 2θ 47.82, rel. 34; 2θ 61.24, rel. 18; 2θ 56.60, rel. 17



# Tb4CeS7
Theoretical XRD peak list, Cu Kα X-rays. Input: DFT lattice parameters and positions (PBE).
Lines closer than 0.1° are merged.

Structure:
Unit cell a=6.8088 b=6.8088 c=11.7203 alpha=104.04 beta=104.04 gamma=32.80
Sites, in units of the cell vectors:
Tb 0.0000 0.0000 0.0000
Tb 0.4000 0.4000 0.6273
Tb 0.5876 0.5876 0.3966
Tb 0.7001 0.7001 0.8128
Ce 0.8127 0.8127 0.2351
S 0.0412 0.0412 0.7639
S 0.1984 0.1984 0.3199
S 0.3581 0.3581 0.8648
S 0.4465 0.4465 0.1654
S 0.6553 0.6553 0.0254
S 0.7442 0.7442 0.6002
S 0.9624 0.9624 0.4674

Most intense lines, 2θ = 15–90°, by intensity:
2θ 24.19, rel. 100; 2θ 23.58, rel. 90; 2θ 32.76, rel. 56; 2θ 31.13, rel. 41; 2θ 33.82, rel. 40; 2θ 27.32, rel. 38



# Ag3Pb5
Theoretical XRD peak list, Cu Kα X-rays. Input: DFT lattice parameters and positions (PBE).
Lines closer than 0.1° are merged.

Structure:
Unit cell a=8.5733 b=9.9727 c=4.9039 alpha=90.00 beta=90.00 gamma=90.00
Sites, in units of the cell vectors:
Ag 0.0000 0.0000 0.0000
Ag 0.0000 0.2679 0.5000
Ag 0.0000 0.7321 0.5000
Ag 0.5000 0.2321 0.5000
Ag 0.5000 0.5000 0.0000
Ag 0.5000 0.7679 0.5000
Pb 0.0000 0.5000 0.0000
Pb 0.2149 0.0000 0.5000
Pb 0.2500 0.2500 0.0000
Pb 0.2500 0.7500 0.0000
Pb 0.2851 0.5000 0.5000
Pb 0.5000 0.0000 0.0000
Pb 0.7149 0.5000 0.5000
Pb 0.7500 0.2500 0.0000
Pb 0.7500 0.7500 0.0000
Pb 0.7851 0.0000 0.5000

Most intense lines, 2θ = 15–90°, by intensity:
2θ 33.06, rel. 100; 2θ 36.02, rel. 21; 2θ 36.65, rel. 20; 2θ 63.73, rel. 15; 2θ 62.89, rel. 15; 2θ 52.33, rel. 14



Number 6 is which compound?
Ag3Pb5



Number 4 is which compound?
Ce4Sn2Hg3